[1]
Diffraction record for Rb3Na2Hg2. The powder XRD pattern is theoretical, not measured: it uses a structure optimized by DFT (GGA-PBE) and copper Kα.

Peak list (8 most intense, 10 to 90 degrees two-theta, in order of rising 2θ)
17.77 deg, rel. 100
21.20 deg, rel. 32
23.89 deg, rel. 40
28.24 deg, rel. 46
29.69 deg, rel. 33
30.20 deg, rel. 41
30.91 deg, rel. 47
36.03 deg, rel. 32

Crystal structure
```
Rb3Na2Hg2
1.0
8.1339 0.0000 0.0000
0.0000 9.2868 0.0000
0.0000 0.0000 17.2543
Rb Na Hg
12 8 8
Cartesian
0.6892 0.6751 1.9330 Rb
0.6892 0.6751 6.6941 Rb
0.6892 3.9684 10.5601 Rb
0.6892 3.9684 15.3213 Rb
2.9611 6.7997 4.3136 Rb
2.9611 7.1305 12.9407 Rb
5.1728 2.1563 4.3136 Rb
5.1728 2.4871 12.9407 Rb
7.4447 5.3185 1.9330 Rb
7.4447 5.3185 6.6941 Rb
7.4447 8.6118 10.5601 Rb
7.4447 8.6118 15.3213 Rb
3.2278 0.6844 9.9594 Na
3.2278 0.6844 15.9220 Na
3.2278 3.9590 1.3323 Na
3.2278 3.9590 7.2949 Na
4.9061 5.3278 9.9594 Na
4.9061 5.3278 15.9220 Na
4.9061 8.6024 1.3323 Na
4.9061 8.6024 7.2949 Na
1.6501 1.2541 12.9407 Hg
1.6501 3.3893 4.3136 Hg
2.3843 6.9651 0.0000 Hg
2.3843 6.9651 8.6271 Hg
5.7496 2.3217 0.0000 Hg
5.7496 2.3217 8.6271 Hg
6.4838 5.8975 12.9407 Hg
6.4838 8.0327 4.3136 Hg
```

[2]
Diffraction record for Rb3Na4Hg4. The powder XRD pattern is theoretical, not measured: it uses a structure optimized by DFT (GGA-PBE) and copper Kα.

Peak list (8 most intense, 10 to 90 degrees two-theta, in order of rising 2θ)
22.46 deg, rel. 100
25.99 deg, rel. 66
29.12 deg, rel. 46
39.43 deg, rel. 76
43.79 deg, rel. 27
55.24 deg, rel. 23
56.98 deg, rel. 22
71.50 deg, rel. 21

Crystal structure
```
Rb3Na4Hg4
1.0
-4.8483 4.8483 4.8483
4.8483 -4.8483 4.8483
4.8483 4.8483 -4.8483
Rb Na Hg
3 4 4
Cartesian
4.8483 0.0000 0.0000 Rb
0.0000 4.8483 0.0000 Rb
0.0000 0.0000 4.8483 Rb
1.2844 1.2844 -1.2844 Na
1.2844 -1.2844 1.2844 Na
-1.2844 1.2844 1.2844 Na
3.5639 3.5639 3.5639 Na
3.0497 3.0497 -3.0497 Hg
3.0497 -3.0497 3.0497 Hg
1.7986 1.7986 1.7986 Hg
-3.0497 3.0497 3.0497 Hg
```

[3]
Diffraction record for Rb3Na3Hg2. The powder XRD pattern is theoretical, not measured: it uses a structure optimized by DFT (GGA-PBE) and copper Kα.

Peak list (8 most intense, 10 to 90 degrees two-theta, in order of rising 2θ)
17.89 deg, rel. 77
20.18 deg, rel. 74
22.17 deg, rel. 63
26.45 deg, rel. 86
28.06 deg, rel. 100
29.41 deg, rel. 92
31.79 deg, rel. 65
41.38 deg, rel. 63

Crystal structure
```
Rb3Na3Hg2
1.0
10.0863 0.0000 0.0000
0.0000 19.8369 0.0000
0.0000 0.0000 7.2688
Rb Na Hg
12 12 8
Cartesian
0.3120 2.1361 0.7651 Rb
0.3120 7.7823 0.7651 Rb
1.6836 4.9592 4.6299 Rb
3.3595 14.8777 0.9955 Rb
4.7311 12.0546 4.3995 Rb
4.7311 17.7008 4.3995 Rb
5.3552 2.1361 2.8693 Rb
5.3552 7.7823 2.8693 Rb
6.7268 4.9592 6.2733 Rb
8.4026 14.8777 2.6389 Rb
9.7742 12.0546 6.5037 Rb
9.7742 17.7008 6.5037 Rb
1.6899 0.6852 4.3333 Na
1.6899 9.2332 4.3333 Na
1.7086 14.8777 4.4786 Na
3.3345 4.9592 0.8442 Na
3.3532 10.6037 0.6989 Na
3.3532 19.1517 0.6989 Na
6.7330 0.6852 6.5699 Na
6.7330 9.2332 6.5699 Na
6.7517 14.8777 6.4246 Na
8.3777 4.9592 2.7902 Na
8.3964 10.6037 2.9355 Na
8.3964 19.1517 2.9355 Na
1.2404 12.1082 2.7859 Hg
1.2404 17.6472 2.7859 Hg
3.8027 2.1897 6.4203 Hg
3.8027 7.7287 6.4203 Hg
6.2836 12.1082 0.8485 Hg
6.2836 17.6472 0.8485 Hg
8.8458 2.1897 4.4829 Hg
8.8458 7.7287 4.4829 Hg
```

[4]
Diffraction record for Rb3NaHg2. The powder XRD pattern is theoretical, not measured: it uses a structure optimized by DFT (GGA-PBE) and copper Kα.

Peak list (8 most intense, 10 to 90 degrees two-theta, in order of rising 2θ)
17.95 deg, rel. 96
18.60 deg, rel. 83
21.40 deg, rel. 59
25.96 deg, rel. 77
29.51 deg, rel. 71
31.35 deg, rel. 100
31.74 deg, rel. 83
32.89 deg, rel. 35

Crystal structure
```
Rb3NaHg2
1.0
4.9424 2.8535 7.6599
-4.9424 2.8535 7.6599
0.0000 -5.7070 7.6599
Rb Na Hg
6 2 4
Cartesian
-3.5467 -0.4361 9.5749 Rb
-1.3957 -3.2896 13.4048 Rb
2.1510 -2.8535 9.5749 Rb
-2.1510 2.8535 13.4048 Rb
1.3957 3.2896 9.5749 Rb
3.5467 0.4361 13.4048 Rb
0.0000 0.0000 0.0000 Na
0.0000 0.0000 11.4898 Na
0.0000 0.0000 3.1862 Hg
0.0000 0.0000 8.3037 Hg
0.0000 0.0000 14.6760 Hg
0.0000 0.0000 19.7935 Hg
```

[5]
Diffraction record for Rb7Na2Hg2. The powder XRD pattern is theoretical, not measured: it uses a structure optimized by DFT (GGA-PBE) and copper Kα.

Peak list (8 most intense, 10 to 90 degrees two-theta, in order of rising 2θ)
10.16 deg, rel. 68
13.67 deg, rel. 100
20.41 deg, rel. 81
23.29 deg, rel. 44
23.67 deg, rel. 39
25.53 deg, rel. 54
28.31 deg, rel. 86
30.32 deg, rel. 39

Crystal structure
```
Rb7Na2Hg2
1.0
5.7401 -8.7049 0.0000
5.7401 8.7049 0.0000
-1.4990 0.0000 7.6397
Rb Na Hg
7 2 2
Cartesian
0.0000 0.0000 0.0000 Rb
2.6088 5.1335 5.8022 Rb
2.5743 0.0000 6.0618 Rb
7.3722 5.1335 1.8375 Rb
2.6088 -5.1335 5.8022 Rb
7.4068 0.0000 1.5779 Rb
7.3722 -5.1335 1.8375 Rb
4.9905 2.0873 3.8199 Na
4.9905 -2.0873 3.8199 Na
3.1844 0.0000 2.1088 Hg
6.7966 0.0000 5.5309 Hg
```

[6]
Diffraction record for Rb6NaHg2. The powder XRD pattern is theoretical, not measured: it uses a structure optimized by DFT (GGA-PBE) and copper Kα.

Peak list (8 most intense, 10 to 90 degrees two-theta, in order of rising 2θ)
14.03 deg, rel. 39
23.83 deg, rel. 76
24.98 deg, rel. 93
25.97 deg, rel. 50
26.34 deg, rel. 41
26.45 deg, rel. 100
28.27 deg, rel. 46
28.74 deg, rel. 44

Crystal structure
```
Rb6NaHg2
1.0
-6.2443 6.3127 6.9038
6.2443 -6.3127 6.9038
6.2443 6.3127 -6.9038
Rb Na Hg
12 2 4
Cartesian
6.2443 -3.8385 4.4762 Rb
3.6786 0.0000 3.2974 Rb
8.8099 0.0000 3.2974 Rb
3.9123 3.6333 0.0000 Rb
8.5763 3.6333 0.0000 Rb
0.0000 2.4742 2.4276 Rb
6.2443 3.8385 4.4762 Rb
-2.3320 2.6794 6.9038 Rb
2.3320 2.6794 6.9038 Rb
-2.5657 6.3127 3.6064 Rb
2.5657 6.3127 3.6064 Rb
0.0000 10.1513 2.4276 Rb
6.2443 0.0000 0.0000 Na
0.0000 6.3127 0.0000 Na
1.6199 0.0000 0.0000 Hg
10.8686 0.0000 0.0000 Hg
0.0000 0.0000 5.3617 Hg
0.0000 0.0000 8.4459 Hg
```

[7]
Diffraction record for Rb2Na5Hg. The powder XRD pattern is theoretical, not measured: it uses a structure optimized by DFT (GGA-PBE) and copper Kα.

Peak list (8 most intense, 10 to 90 degrees two-theta, in order of rising 2θ)
13.56 deg, rel. 100
20.24 deg, rel. 30
22.72 deg, rel. 23
23.60 deg, rel. 60
27.31 deg, rel. 42
29.22 deg, rel. 21
30.18 deg, rel. 21
32.99 deg, rel. 20

Crystal structure
```
Rb2Na5Hg
1.0
7.6797 0.0000 0.0000
-1.4524 7.5416 0.0000
-3.0878 -3.7794 6.5297
Rb Na Hg
2 5 1
Cartesian
0.0000 0.0000 0.0000 Rb
0.0038 -0.0128 6.5290 Rb
-1.9528 2.2711 3.5114 Na
0.5137 5.2587 3.5235 Na
1.6858 1.7782 3.3856 Na
3.8374 -0.0002 1.3282 Na
6.0088 -1.7947 3.3609 Na
3.8537 -0.0093 4.8415 Hg
```

[8]
Diffraction record for Rb4Na2Hg. The powder XRD pattern is theoretical, not measured: it uses a structure optimized by DFT (GGA-PBE) and copper Kα.

Peak list (8 most intense, 10 to 90 degrees two-theta, in order of rising 2θ)
11.26 deg, rel. 45
12.33 deg, rel. 45
20.08 deg, rel. 99
22.31 deg, rel. 39
25.90 deg, rel. 100
26.66 deg, rel. 55
29.00 deg, rel. 36
29.28 deg, rel. 37

Crystal structure
```
Rb4Na2Hg
1.0
7.9730 -3.3433 0.0000
7.9730 3.3433 0.0000
-3.8039 0.0000 7.8565
Rb Na Hg
4 2 1
Cartesian
-0.4228 0.0000 2.0702 Rb
4.5127 0.0000 1.6352 Rb
7.6295 0.0000 6.2213 Rb
12.5649 0.0000 5.7863 Rb
2.2393 0.0000 5.2920 Na
9.9029 0.0000 2.5644 Na
7.9730 0.0000 0.0000 Hg
```

[9]
Diffraction record for Rb3Na5Hg. The powder XRD pattern is theoretical, not measured: it uses a structure optimized by DFT (GGA-PBE) and copper Kα.

Peak list (8 most intense, 10 to 90 degrees two-theta, in order of rising 2θ)
10.58 deg, rel. 73
16.11 deg, rel. 45
21.26 deg, rel. 49
24.53 deg, rel. 53
26.78 deg, rel. 100
32.12 deg, rel. 39
32.68 deg, rel. 56
50.37 deg, rel. 45

Crystal structure
```
Rb3Na5Hg
1.0
9.6536 0.0000 0.0000
-4.8268 8.3603 0.0000
0.0000 0.0000 5.5032
Rb Na Hg
3 5 1
Cartesian
-2.9360 5.0853 0.0000 Rb
1.8908 3.2750 0.0000 Rb
5.8720 0.0000 0.0000 Rb
-1.0699 1.8532 2.7516 Na
2.1398 0.0000 2.7516 Na
0.0000 5.5735 2.7516 Na
4.8268 2.7868 2.7516 Na
3.7569 6.5071 2.7516 Na
0.0000 0.0000 0.0000 Hg
```

[10]
Diffraction record for RbNaHgSe2. The powder XRD pattern is theoretical, not measured: it uses a structure optimized by DFT (GGA-PBE) and copper Kα.

Peak list (8 most intense, 10 to 90 degrees two-theta, in order of rising 2θ)
11.71 deg, rel. 70
13.70 deg, rel. 79
18.06 deg, rel. 66
25.97 deg, rel. 98
26.22 deg, rel. 100
30.07 deg, rel. 71
32.02 deg, rel. 59
45.61 deg, rel. 60

Crystal structure
```
RbNaHgSe2
1.0
3.3994 -7.5576 0.0000
3.3994 7.5576 0.0000
0.0000 0.0000 6.4641
Rb Na Hg Se
2 2 2 4
Cartesian
3.3994 3.7788 5.0326 Rb
3.3994 -3.7788 1.4314 Rb
1.6997 0.0000 3.2320 Na
5.0991 0.0000 3.2320 Na
0.0000 0.0000 0.0000 Hg
3.3994 0.0000 0.0000 Hg
3.3994 5.7220 1.6739 Se
3.3994 1.8356 1.6739 Se
3.3994 -1.8356 4.7901 Se
3.3994 -5.7220 4.7901 Se
```

[11]
Diffraction record for Na2HgS2. The powder XRD pattern is theoretical, not measured: it uses a structure optimized by DFT (GGA-PBE) and copper Kα.

Peak list (8 most intense, 10 to 90 degrees two-theta, in order of rising 2θ)
15.29 deg, rel. 100
19.28 deg, rel. 74
19.40 deg, rel. 52
23.49 deg, rel. 60
28.15 deg, rel. 69
33.10 deg, rel. 63
33.87 deg, rel. 35
39.25 deg, rel. 50

Crystal structure
```
Na2HgS2
1.0
7.4894 0.0000 0.0000
0.0000 7.5742 0.0000
0.0000 0.0000 18.2973
Na Hg S
16 8 16
Cartesian
0.3396 1.3785 3.5713 Na
0.3396 2.4087 12.7200 Na
1.7081 0.0638 10.1185 Na
1.7081 3.7233 0.9699 Na
2.0366 3.8509 10.1185 Na
2.0366 7.5104 0.9699 Na
3.4051 5.1656 3.5713 Na
3.4051 6.1958 12.7200 Na
4.0843 1.3785 5.5773 Na
4.0843 2.4087 14.7260 Na
5.4528 0.0638 17.3274 Na
5.4528 3.7233 8.1788 Na
5.7813 3.8509 17.3274 Na
5.7813 7.5104 8.1788 Na
7.1498 5.1656 5.5773 Na
7.1498 6.1958 14.7260 Na
1.1069 1.6251 16.2503 Hg
1.1069 2.1620 7.1016 Hg
2.6378 5.4123 16.2503 Hg
2.6378 5.9491 7.1016 Hg
4.8516 1.6251 11.1957 Hg
4.8516 2.1620 2.0470 Hg
6.3825 5.4123 11.1957 Hg
6.3825 5.9491 2.0470 Hg
0.6075 5.6636 8.2673 S
0.6075 5.6977 17.4159 S
0.8520 5.1282 12.4665 S
0.8520 6.2331 3.3179 S
2.8927 1.3411 12.4665 S
2.8927 2.4460 3.3179 S
3.1372 1.8765 8.2673 S
3.1372 1.9106 17.4159 S
4.3522 5.6636 0.8814 S
4.3522 5.6977 10.0300 S
4.5968 5.1282 14.9794 S
4.5968 6.2331 5.8308 S
6.6374 1.3411 14.9794 S
6.6374 2.4460 5.8308 S
6.8819 1.8765 0.8814 S
6.8819 1.9106 10.0300 S
```

[12]
Diffraction record for NaHg5S5. The powder XRD pattern is theoretical, not measured: it uses a structure optimized by DFT (GGA-PBE) and copper Kα.

Peak list (8 most intense, 10 to 90 degrees two-theta, in order of rising 2θ)
19.00 deg, rel. 31
27.19 deg, rel. 100
27.41 deg, rel. 90
30.13 deg, rel. 53
30.65 deg, rel. 77
33.98 deg, rel. 50
43.52 deg, rel. 39
46.39 deg, rel. 50

Crystal structure
```
NaHg5S5
1.0
6.4643 -2.9166 0.0000
6.4643 2.9166 0.0000
-3.3178 0.0000 7.2632
Na Hg S
1 5 5
Cartesian
0.0000 0.0000 0.0000 Na
-1.6589 0.0000 3.6316 Hg
1.7536 0.0000 4.9644 Hg
4.0906 0.0000 1.3177 Hg
5.5202 0.0000 5.9455 Hg
7.8571 0.0000 2.2987 Hg
-0.8655 0.0000 5.8583 S
1.7108 0.0000 2.4253 S
6.4643 0.0000 0.0000 S
7.8999 0.0000 4.8379 S
10.4762 0.0000 1.4049 S
```